[1]
Starting from a cell relaxed with GGA-PBE, the PXRD pattern of KIrCl6 was simulated for Cu Kα (λ = 1.5418 Å).
No peak broadening, texture or thermal motion is included.

Most intense lines, 10° ≤ 2θ ≤ 80°, low angle first:
hkl 1 1 -1, 2θ = 15.3°, intensity 85
hkl 0 0 2, 2θ = 16.0°, intensity 100
hkl 2 0 0, 2θ = 18.1°, intensity 20
hkl 0 2 0, 2θ = 19.9°, intensity 17
hkl 1 1 -3, 2θ = 27.1°, intensity 32
hkl 3 1 1, 2θ = 30.7°, intensity 19
hkl 0 0 4, 2θ = 32.3°, intensity 14
hkl 1 3 -1, 2θ = 32.4°, intensity 14

Structure:
```
data_KIrCl6
_chemical_formula_sum 'K4 Ir4 Cl24'
_cell_length_a 9.853
_cell_length_b 8.903
_cell_length_c 11.105
_cell_angle_alpha 90.00
_cell_angle_beta 94.09
_cell_angle_gamma 90.00
_symmetry_space_group_name_H-M 'C 1 2/c 1'
_symmetry_Int_Tables_number 15
loop_
_symmetry_equiv_pos_as_xyz
'x,y,z'
'-x,-y,-z'
'-x,y,-z+1/2'
'x,-y,z+1/2'
'x+1/2,y+1/2,z'
'-x+1/2,-y+1/2,-z'
'-x+1/2,y+1/2,-z+1/2'
'x+1/2,-y+1/2,z+1/2'
loop_
_atom_site_label
_atom_site_type_symbol
_atom_site_fract_x
_atom_site_fract_y
_atom_site_fract_z
K1 K 0.000 0.012 0.250
Ir1 Ir 0.250 0.250 0.500
Cl1 Cl 0.029 0.311 0.437
Cl2 Cl 0.190 0.003 0.009
Cl3 Cl 0.200 0.283 0.700
```

[2]
Starting from a cell relaxed with GGA-PBE, the PXRD pattern of LaTb3Ho4 was simulated for Cu Kα (λ = 1.5418 Å).
No peak broadening, texture or thermal motion is included.

Most intense lines, 10° ≤ 2θ ≤ 80°, low angle first:
hkl 1 1 -1, 2θ = 26.5°, intensity 19
hkl 0 2 1, 2θ = 30.1°, intensity 55
hkl 4 0 0, 2θ = 30.8°, intensity 68
hkl 2 4 0, 2θ = 31.5°, intensity 100
hkl 1 3 1, 2θ = 36.5°, intensity 18
hkl 3 3 -1, 2θ = 36.6°, intensity 17
hkl 2 2 1, 2θ = 37.3°, intensity 16
hkl 6 4 0, 2θ = 55.3°, intensity 24

Structure:
```
data_LaTb3Ho4
_chemical_formula_sum 'La2 Tb6 Ho8'
_cell_length_a 12.093
_cell_length_b 13.011
_cell_length_c 3.484
_cell_angle_alpha 90.00
_cell_angle_beta 106.37
_cell_angle_gamma 90.00
_symmetry_space_group_name_H-M 'C 1 2/m 1'
_symmetry_Int_Tables_number 12
loop_
_symmetry_equiv_pos_as_xyz
'x,y,z'
'-x,-y,-z'
'-x,y,-z'
'x,-y,z'
'x+1/2,y+1/2,z'
'-x+1/2,-y+1/2,-z'
'-x+1/2,y+1/2,-z'
'x+1/2,-y+1/2,z'
loop_
_atom_site_label
_atom_site_type_symbol
_atom_site_fract_x
_atom_site_fract_y
_atom_site_fract_z
La1 La 0.000 0.000 0.000
Tb1 Tb 0.000 0.259 0.500
Tb2 Tb 0.000 0.500 0.000
Ho1 Ho 0.244 0.364 0.244
```

[3]
Starting from a cell relaxed with GGA-PBE, the PXRD pattern of PuTa2Ru was simulated for Cu Kα (λ = 1.5418 Å).
No peak broadening, texture or thermal motion is included.

Most intense lines, 10° ≤ 2θ ≤ 80°, low angle first:
hkl 1 0 1, 2θ = 31.1°, intensity 16
hkl 1 0 2, 2θ = 37.2°, intensity 100
hkl 1 1 0, 2θ = 41.1°, intensity 42
hkl 0 0 4, 2θ = 47.2°, intensity 9
hkl 1 1 3, 2θ = 55.1°, intensity 10
hkl 2 0 0, 2θ = 59.6°, intensity 14
hkl 1 1 4, 2θ = 64.4°, intensity 15
hkl 2 1 2, 2θ = 72.4°, intensity 29

Structure:
```
data_PuTa2Ru
_chemical_formula_sum 'Pu1 Ta2 Ru1'
_cell_length_a 3.103
_cell_length_b 3.103
_cell_length_c 7.697
_cell_angle_alpha 90.00
_cell_angle_beta 90.00
_cell_angle_gamma 90.00
_symmetry_space_group_name_H-M 'P 4/m m m'
_symmetry_Int_Tables_number 123
_symmetry_space_group_name_Hall '-P 4 2'
loop_
_atom_site_label
_atom_site_type_symbol
_atom_site_fract_x
_atom_site_fract_y
_atom_site_fract_z
Pu1 Pu 0.000 0.000 0.000
Ta1 Ta 0.500 0.500 0.286
Ru1 Ru 0.000 0.000 0.500
```